Structure and theoretical powder diffraction line list of Sm2DyHoS6 (a DFT-relaxed cell (GGA-PBE, Alexandria); Cu Kα, 1.54184 Å).
Intensities are scaled so that the largest is 100.

Structural model:
```
data_Sm2DyHoS6
_cell_length_a 6.9967
_cell_length_b 6.9967
_cell_length_c 18.5875
_cell_angle_alpha 90.00
_cell_angle_beta 90.00
_cell_angle_gamma 120.00
_space_group_name_H-M_alt 'R 3'
_space_group_IT_number 146
_space_group_name_Hall 'R 3'
loop_
_atom_site_label
_atom_site_fract_x
_atom_site_fract_y
_atom_site_fract_z
Sm1 0.0000 0.0000 0.0000
Sm2 0.0000 0.0000 0.4996
Dy1 0.0000 0.0000 0.2037
Ho1 0.0000 0.0000 0.7032
S1 0.0416 0.3603 0.7716
S2 0.0420 0.6797 0.2718
```

Most intense lines, 5 to 70 degrees two-theta, sorted by position:
2θ (°)  intensity
24.14  100
25.46  100
35.37  49
38.83  78
44.08  49
44.88  49